[1]
# Ba4Sn6Cl19
Computed XRD peak list, Cu Kα (weighted mean of Kα1 and Kα2). Input: DFT lattice parameters and positions (PBE).
Neutral-atom scattering factors, no anomalous dispersion.

Atomic structure:
```
Ba4Sn6Cl19
1.0
-6.2800 6.2800 6.2800
6.2800 -6.2800 6.2800
6.2800 6.2800 -6.2800
Ba Sn Cl
4 6 19
Cartesian
4.4675 4.4675 -4.4675
4.4675 -4.4675 4.4675
1.8125 1.8125 1.8125
-4.4675 4.4675 4.4675
6.2800 0.0000 1.6952
6.2800 4.5848 0.0000
1.6952 6.2800 0.0000
4.5848 0.0000 6.2800
0.0000 1.6952 6.2800
0.0000 6.2800 4.5848
0.0000 0.0000 0.0000
3.5986 0.0000 0.0000
8.9614 0.0000 0.0000
5.6251 2.7463 -1.9553
8.2353 -0.6549 3.5337
0.0000 3.5986 0.0000
0.0000 0.0000 3.5986
2.7463 -1.9553 5.6251
4.3247 0.6549 3.5337
6.9349 2.7463 1.9553
3.5337 4.3247 0.6549
3.5337 8.2353 -0.6549
0.6549 3.5337 4.3247
-1.9553 5.6251 2.7463
2.7463 1.9553 6.9349
0.0000 8.9614 0.0000
0.0000 0.0000 8.9614
1.9553 6.9349 2.7463
-0.6549 3.5337 8.2353
```

Main lines, by intensity (15° ≤ 2θ ≤ 90°):
2θ = 36.5°, I = 100.0; 2θ = 22.4°, I = 71.7; 2θ = 17.3°, I = 52.4; 2θ = 39.3°, I = 40.4; 2θ = 26.6°, I = 33.1; 2θ = 63.7°, I = 32.2

---

[2]
# BaSnCl4
Computed XRD peak list, Cu Kα (weighted mean of Kα1 and Kα2). Input: DFT lattice parameters and positions (PBE).
Neutral-atom scattering factors, no anomalous dispersion.

Atomic structure:
```
BaSnCl4
1.0
7.2995 0.0000 0.0000
0.0000 7.3969 0.0000
-0.3575 0.0000 7.3511
Ba Sn Cl
2 2 8
Cartesian
0.0000 0.0000 0.0000
-0.1788 3.6985 3.6755
3.4710 0.0000 3.6755
3.6497 3.6985 0.0000
1.1395 1.1641 2.6281
0.9607 2.5344 6.3036
2.3392 5.0903 2.1998
2.1604 6.0051 5.8754
4.7815 1.3919 1.4757
4.6028 2.3066 5.1512
5.9812 4.8625 1.0475
5.8025 6.2329 4.7230
```

Main lines, by intensity (15° ≤ 2θ ≤ 90°):
2θ = 20.6°, I = 100.0; 2θ = 21.3°, I = 84.4; 2θ = 40.4°, I = 49.1; 2θ = 34.4°, I = 42.8; 2θ = 34.5°, I = 40.4; 2θ = 40.1°, I = 29.4

---

[3]
# BaTbCl5
Computed XRD peak list, Cu Kα (weighted mean of Kα1 and Kα2). Input: DFT lattice parameters and positions (PBE).
Neutral-atom scattering factors, no anomalous dispersion.

Atomic structure:
```
BaTbCl5
1.0
2.7778 -9.7225 0.0000
2.7778 9.7225 0.0000
-0.3846 0.0000 6.8922
Ba Tb Cl
2 2 10
Cartesian
2.4894 6.3776 5.1691
2.6817 -6.3776 1.7230
2.4894 1.4830 5.1691
2.6817 -1.4830 1.7230
2.6817 7.2757 1.7230
1.2824 0.6188 2.7869
1.0901 -0.6188 6.2330
2.3515 3.6377 6.8916
2.6272 3.6377 3.4467
2.5438 -3.6377 3.4455
2.8195 -3.6377 0.0006
4.0809 0.6188 0.6592
3.8886 -0.6188 4.1053
2.4894 -7.2757 5.1691
```

Main lines, by intensity (15° ≤ 2θ ≤ 90°):
2θ = 22.4°, I = 100.0; 2θ = 20.5°, I = 63.0; 2θ = 34.3°, I = 52.7; 2θ = 21.6°, I = 44.3; 2θ = 39.0°, I = 39.7; 2θ = 32.3°, I = 37.1

---

[4]
# BaTbTlCl6
Computed XRD peak list, Cu Kα (weighted mean of Kα1 and Kα2). Input: DFT lattice parameters and positions (PBE).
Neutral-atom scattering factors, no anomalous dispersion.

Atomic structure:
```
BaTbTlCl6
1.0
7.6800 0.0000 0.0000
-3.8400 6.6510 0.0000
0.0000 0.0000 12.9752
Ba Tb Tl Cl
2 2 2 12
Cartesian
0.0000 4.4340 3.2438
3.8400 2.2170 9.7314
0.0000 4.4340 9.7314
3.8400 2.2170 3.2438
0.0000 0.0000 0.0000
0.0000 0.0000 6.4876
-1.1577 2.5563 8.2224
-2.2050 4.3703 11.2403
1.1577 2.5563 11.2403
-1.0473 6.3755 8.2224
2.7927 0.2756 1.7348
1.6350 2.2808 4.7527
2.2050 4.3703 8.2224
1.0473 6.3755 11.2403
4.8873 0.2756 4.7527
2.6823 4.0947 1.7348
6.0450 2.2808 1.7348
4.9977 4.0947 4.7527
```

Main lines, by intensity (15° ≤ 2θ ≤ 90°):
2θ = 19.1°, I = 100.0; 2θ = 36.3°, I = 57.2; 2θ = 23.2°, I = 39.2; 2θ = 38.4°, I = 34.6; 2θ = 30.2°, I = 31.4; 2θ = 40.7°, I = 25.4

---

[5]
# Ba2TcCl
Computed XRD peak list, Cu Kα (weighted mean of Kα1 and Kα2). Input: DFT lattice parameters and positions (PBE).
Neutral-atom scattering factors, no anomalous dispersion.

Atomic structure:
```
Ba2TcCl
1.0
3.8255 -2.1859 0.0000
3.8255 2.1859 0.0000
-2.5015 0.0000 8.5144
Ba Tc Cl
2 1 1
Cartesian
1.2930 0.0000 2.0168
3.8565 0.0000 6.4976
3.8255 0.0000 0.0000
-1.2508 0.0000 4.2572
```

Main lines, by intensity (15° ≤ 2θ ≤ 90°):
2θ = 27.3°, I = 100.0; 2θ = 36.8°, I = 28.8; 2θ = 41.0°, I = 21.9; 2θ = 36.6°, I = 14.8; 2θ = 60.7°, I = 12.5; 2θ = 50.2°, I = 11.9

---

[6]
# Ba3Te2Cl
Computed XRD peak list, Cu Kα (weighted mean of Kα1 and Kα2). Input: DFT lattice parameters and positions (PBE).
Neutral-atom scattering factors, no anomalous dispersion.

Atomic structure:
```
Ba3Te2Cl
1.0
-2.4981 2.4981 10.1231
2.4981 -2.4981 10.1231
2.4981 2.4981 -10.1231
Ba Te Cl
3 2 1
Cartesian
0.0000 0.0000 0.0000
0.0000 0.0000 6.7831
0.0000 0.0000 13.4632
0.0000 0.0000 3.3441
0.0000 0.0000 16.9021
0.0000 0.0000 10.1231
```

Main lines, by intensity (15° ≤ 2θ ≤ 90°):
2θ = 25.2°, I = 100.0; 2θ = 36.8°, I = 72.9; 2θ = 26.4°, I = 44.3; 2θ = 45.2°, I = 40.5; 2θ = 35.9°, I = 40.4; 2θ = 65.2°, I = 26.9

---

[7]
# BaTiCl5
Computed XRD peak list, Cu Kα (weighted mean of Kα1 and Kα2). Input: DFT lattice parameters and positions (PBE).
Neutral-atom scattering factors, no anomalous dispersion.

Atomic structure:
```
BaTiCl5
1.0
5.8627 -4.1189 0.0000
5.8627 4.1189 0.0000
-3.8784 0.0000 9.0679
Ba Ti Cl
2 2 10
Cartesian
2.9539 3.6760 6.8009
4.8931 -3.6760 2.2670
5.8627 0.0000 0.0000
3.9235 0.0000 4.5340
5.1206 2.3632 0.0577
1.8987 0.6404 3.5283
4.6656 2.3632 4.4762
-0.0404 -0.6404 8.0623
2.9539 0.5142 6.8009
4.8931 -0.5142 2.2670
7.8875 0.6404 1.0056
3.1814 -2.3632 4.5917
5.9483 -0.6404 5.5396
2.7265 -2.3632 9.0102
```

Main lines, by intensity (15° ≤ 2θ ≤ 90°):
2θ = 16.4°, I = 100.0; 2θ = 21.0°, I = 93.5; 2θ = 36.5°, I = 33.6; 2θ = 34.2°, I = 32.8; 2θ = 40.1°, I = 31.1; 2θ = 32.1°, I = 28.9

---

[8]
# BaTi3Cl12
Computed XRD peak list, Cu Kα (weighted mean of Kα1 and Kα2). Input: DFT lattice parameters and positions (PBE).
Neutral-atom scattering factors, no anomalous dispersion.

Atomic structure:
```
BaTi3Cl12
1.0
12.6767 0.0000 0.0000
-6.3383 10.9783 0.0000
0.0000 0.0000 8.2806
Ba Ti Cl
2 6 24
Cartesian
0.0000 7.3189 2.0701
6.3383 3.6594 6.2104
-3.2613 7.7613 6.2104
1.2475 4.2733 6.2104
4.3246 1.0563 2.0701
2.0138 9.9220 6.2104
5.0908 6.7050 2.0701
9.5996 3.2170 2.0701
-1.1837 2.1052 2.0701
-2.7392 5.4567 2.0701
-3.9233 10.9508 2.0701
1.2314 2.0777 6.2104
-2.0595 8.3415 4.3769
-2.0595 8.3415 8.0440
0.1441 5.0240 4.3769
0.1441 5.0240 8.0440
4.4230 2.3872 0.2366
4.4230 2.3872 3.9037
-0.2431 10.6222 2.0701
3.3561 5.1006 6.2104
2.9823 5.8777 2.0701
6.5814 0.3562 6.2104
1.9154 8.5911 4.3769
1.9154 8.5911 8.0440
6.1942 5.9543 0.2366
6.1942 5.9543 3.9037
8.3978 2.6368 0.2366
8.3978 2.6368 3.9037
5.1070 8.9006 2.0701
10.2616 0.0275 6.2104
9.0775 5.5216 6.2104
7.5220 8.8731 6.2104
```

Main lines, by intensity (15° ≤ 2θ ≤ 90°):
2θ = 19.4°, I = 100.0; 2θ = 17.6°, I = 88.6; 2θ = 30.5°, I = 85.9; 2θ = 21.4°, I = 52.3; 2θ = 24.0°, I = 44.3; 2θ = 37.3°, I = 44.1

---

[9]
# BaTl4Cl
Computed XRD peak list, Cu Kα (weighted mean of Kα1 and Kα2). Input: DFT lattice parameters and positions (PBE).
Neutral-atom scattering factors, no anomalous dispersion.

Atomic structure:
```
BaTl4Cl
1.0
0.0000 4.6402 4.6402
4.6402 0.0000 4.6402
4.6402 4.6402 0.0000
Ba Tl Cl
1 4 1
Cartesian
0.0000 0.0000 0.0000
3.4859 3.4859 3.4859
5.7945 5.7945 3.4859
5.7945 3.4859 5.7945
3.4859 5.7945 5.7945
6.9603 6.9603 6.9603
```

Main lines, by intensity (15° ≤ 2θ ≤ 90°):
2θ = 32.0°, I = 100.0; 2θ = 33.4°, I = 70.2; 2θ = 16.5°, I = 47.6; 2θ = 51.1°, I = 36.0; 2θ = 56.1°, I = 35.3; 2θ = 66.9°, I = 29.4

---

[10]
# BaTlCl6
Computed XRD peak list, Cu Kα (weighted mean of Kα1 and Kα2). Input: DFT lattice parameters and positions (PBE).
Neutral-atom scattering factors, no anomalous dispersion.

Atomic structure:
```
BaTlCl6
1.0
5.7121 0.0000 0.0000
0.7721 6.3202 0.0000
2.6031 1.4228 6.3555
Ba Tl Cl
1 1 6
Cartesian
0.0000 0.0000 0.0000
4.5436 3.8715 3.1778
2.7408 4.8501 4.6811
3.0772 1.5513 3.0655
3.6019 4.9261 0.9370
5.4854 2.8169 5.4185
6.0101 6.1917 3.2900
6.3465 2.8929 1.6744
```

Main lines, by intensity (15° ≤ 2θ ≤ 90°):
2θ = 17.6°, I = 100.0; 2θ = 17.7°, I = 87.9; 2θ = 33.9°, I = 87.0; 2θ = 30.7°, I = 75.9; 2θ = 43.2°, I = 55.8; 2θ = 22.2°, I = 45.9